Starting from a structure optimized by DFT (GGA-PBE), the X-ray powder pattern of Nd2Al5Ag5 was simulated for Cu Kα (λ = 1.5418 Å).
Lines closer than 0.1° are merged.

Largest 8 diffraction maxima, most intense first, 2θ from 5° to 70°:
(1 1 3), 38.05°, intensity 100
(1 0 0), 19.90°, intensity 41
(0 1 3), 32.10°, intensity 37
(1 2 0), 38.40°, intensity 32
(0 2 0), 32.50°, intensity 30
(2 0 0), 40.43°, intensity 27
(1 3 3), 61.70°, intensity 23
(2 1 3), 52.53°, intensity 18

Cell and atoms:
a = 4.462 Å, b = 5.509 Å, c = 9.700 Å
α = 90.00°, β = 90.00°, γ = 90.00°
Sites, in units of the cell vectors:
Nd 0.000 0.000 0.000
Nd 0.000 0.500 0.500
Al 0.500 0.000 0.500
Al 0.500 0.248 0.245
Al 0.500 0.248 0.755
Al 0.500 0.752 0.245
Al 0.500 0.752 0.755
Ag 0.000 0.000 0.334
Ag 0.000 0.000 0.666
Ag 0.000 0.500 0.180
Ag 0.000 0.500 0.820
Ag 0.500 0.500 0.000